Starting from DFT lattice parameters and positions (GGA-PBE), the X-ray diffraction stick pattern of Ho3Er2Zn3 was computed for Cu Kα (λ = 1.5418 Å).
Neutral-atom scattering factors, no anomalous dispersion.

Structure:
```
Ho3Er2Zn3
1.0
3.5734 0.0000 0.0000
0.0000 5.1396 0.0000
0.0000 0.0000 21.2803
Ho Er Zn
6 4 6
direct
0.0000 0.0000 0.0000
0.0000 0.5000 0.1186
0.0000 0.5000 0.8814
0.5000 0.0000 0.3814
0.5000 0.0000 0.6186
0.5000 0.5000 0.5000
0.0000 0.0000 0.2289
0.0000 0.0000 0.7711
0.5000 0.5000 0.2711
0.5000 0.5000 0.7289
0.0000 0.0000 0.5000
0.0000 0.5000 0.3845
0.0000 0.5000 0.6155
0.5000 0.0000 0.1155
0.5000 0.0000 0.8845
0.5000 0.5000 0.0000
```

Most intense lines, 10 to 90 degrees two-theta, in order of rising 2θ:
- hkl 1 0 1, 2θ 25.27, rel. 7
- hkl 0 1 5, 2θ 27.20, rel. 15
- hkl 0 0 8, 2θ 33.69, rel. 16
- hkl 0 2 0, 2θ 34.92, rel. 100
- hkl 0 2 8, 2θ 49.31, rel. 11
- hkl 2 0 0, 2θ 51.12, rel. 7
- hkl 1 1 12, 2θ 61.06, rel. 6
- hkl 1 3 4, 2θ 62.62, rel. 19
- hkl 2 2 0, 2θ 63.41, rel. 8
- hkl 0 4 0, 2θ 73.75, rel. 9